Entry 1:
Calculated XRD peak list
Compound: Er8Al2Tl
Radiation: a wavelength of 1.5418 Å
Structure: DFT lattice parameters and positions (PBE)

```
data_Er8Al2Tl
_chemical_formula_sum 'Er16 Al4 Tl2'
_symmetry_space_group_name_H-M 'I m m m'
_symmetry_Int_Tables_number 71
_symmetry_space_group_name_Hall '-I 2 2'
_cell_length_a 4.9551
_cell_length_b 8.3277
_cell_length_c 14.5391
_cell_angle_alpha 90.00
_cell_angle_beta 90.00
_cell_angle_gamma 90.00
loop_
_atom_site_label
_atom_site_type_symbol
_atom_site_fract_x
_atom_site_fract_y
_atom_site_fract_z
Er1 Er 0.0000 0.0000 0.1460
Er2 Er 0.0000 0.2130 0.3390
Er3 Er 0.0000 0.3111 0.0000
Al1 Al 0.0000 0.5000 0.1938
Tl1 Tl 0.0000 0.5000 0.5000
```

Top 6 peaks for 10 to 80 degrees two-theta, by intensity:
2theta  I_rel  index
33.65  100  1 2 3
32.38  29  1 1 4
36.26  27  2 0 0
32.85  23  0 3 1
24.22  23  1 1 2
37.10  21  0 0 6



Entry 2:
Calculated XRD peak list
Compound: CaInAu6
Radiation: a wavelength of 1.5418 Å
Structure: DFT lattice parameters and positions (PBE)

```
data_CaInAu6
_chemical_formula_sum 'Ca2 In2 Au12'
_symmetry_space_group_name_H-M 'A m m 2'
_symmetry_Int_Tables_number 38
_symmetry_space_group_name_Hall 'A 2 -2'
_cell_length_a 4.8274
_cell_length_b 6.7205
_cell_length_c 9.7721
_cell_angle_alpha 90.00
_cell_angle_beta 90.00
_cell_angle_gamma 90.00
loop_
_atom_site_label
_atom_site_type_symbol
_atom_site_fract_x
_atom_site_fract_y
_atom_site_fract_z
Ca1 Ca 0.0000 0.0000 0.0000
In1 In 0.5000 0.0000 0.7197
Au1 Au 0.0000 0.0000 0.5432
Au2 Au 0.0000 0.2182 0.2714
Au3 Au 0.5000 0.0000 0.1861
Au4 Au 0.5000 0.2203 0.4491
```

Top 6 peaks for 10 to 80 degrees two-theta, by intensity:
2theta  I_rel  index
37.45  100  1 2 2
41.42  37  1 0 4
37.25  36  2 0 0
32.33  21  0 2 2
67.30  18  3 2 2
75.96  14  2 2 6



Entry 3:
Calculated XRD peak list
Compound: Ba3Sr7
Radiation: a wavelength of 1.5418 Å
Structure: DFT lattice parameters and positions (PBE)

```
data_Ba3Sr7
_chemical_formula_sum 'Ba6 Sr14'
_symmetry_space_group_name_H-M 'A m m 2'
_symmetry_Int_Tables_number 38
_symmetry_space_group_name_Hall 'A 2 -2'
_cell_length_a 6.1165
_cell_length_b 6.1271
_cell_length_c 30.5960
_cell_angle_alpha 90.00
_cell_angle_beta 90.00
_cell_angle_gamma 90.00
loop_
_atom_site_label
_atom_site_type_symbol
_atom_site_fract_x
_atom_site_fract_y
_atom_site_fract_z
Ba1 Ba 0.0000 0.0000 0.0000
Ba2 Ba 0.0000 0.0000 0.3973
Ba3 Ba 0.5000 0.0000 0.1030
Sr1 Sr 0.0000 0.0000 0.2022
Sr2 Sr 0.0000 0.0000 0.6028
Sr3 Sr 0.0000 0.0000 0.7982
Sr4 Sr 0.5000 0.0000 0.2977
Sr5 Sr 0.5000 0.0000 0.5001
Sr6 Sr 0.5000 0.0000 0.7022
Sr7 Sr 0.5000 0.0000 0.8973
```

Top 6 peaks for 10 to 80 degrees two-theta, by intensity:
2theta  I_rel  index
25.20  100  1 1 5
29.18  52  2 0 0
41.74  38  2 2 0
49.40  31  3 1 5
66.60  19  3 3 5
49.34  16  1 3 5



Entry 4:
Calculated XRD peak list
Compound: Tb2Pm4ThMg
Radiation: a wavelength of 1.5418 Å
Structure: DFT lattice parameters and positions (PBE)

```
data_Tb2Pm4ThMg
_chemical_formula_sum 'Tb2 Pm4 Th1 Mg1'
_symmetry_space_group_name_H-M 'P 4/m m m'
_symmetry_Int_Tables_number 123
_symmetry_space_group_name_Hall '-P 4 2'
_cell_length_a 5.9066
_cell_length_b 5.9066
_cell_length_c 7.3899
_cell_angle_alpha 90.00
_cell_angle_beta 90.00
_cell_angle_gamma 90.00
loop_
_atom_site_label
_atom_site_type_symbol
_atom_site_fract_x
_atom_site_fract_y
_atom_site_fract_z
Tb1 Tb 0.0000 0.0000 0.0000
Tb2 Tb 0.5000 0.5000 0.0000
Pm1 Pm 0.0000 0.5000 0.2607
Th1 Th 0.0000 0.0000 0.5000
Mg1 Mg 0.5000 0.5000 0.5000
```

Top 6 peaks for 10 to 80 degrees two-theta, by intensity:
2theta  I_rel  index
32.35  100  1 1 2
30.26  60  2 0 0
55.09  45  3 1 2
43.33  23  2 2 0
58.97  18  2 0 4
67.72  12  2 2 4